1.
# LiNiPO4
Calculated powder X-ray diffraction pattern, Cu Kα, 1.54184 Å. Input: a structure optimized by DFT (GGA+U).

```
data_LiNiPO4
_space_group_name_H-M_alt 'P 3 1 c'
_space_group_IT_number 159
_cell_length_a 7.5540
_cell_length_b 7.5540
_cell_length_c 9.6079
_cell_angle_alpha 90.00
_cell_angle_beta 90.00
_cell_angle_gamma 120.00
loop_
_space_group_symop_operation_xyz
'x,y,z'
'-y,x-y,z'
'-x+y,-x,z'
'y,x,z+1/2'
'x-y,-y,z+1/2'
'-x,-x+y,z+1/2'
loop_
_atom_site_label
_atom_site_type_symbol
_atom_site_fract_x
_atom_site_fract_y
_atom_site_fract_z
_atom_site_occupancy
Li1 Li 0.0692 0.5922 0.0000 1
Ni1 Ni 0.0232 0.2573 0.7784 1
P1 P 0.0000 0.0000 0.0116 1
P2 P 0.3333 0.6667 0.3021 1
P3 P 0.3333 0.6667 0.7160 1
O1 O 0.0000 0.0000 0.1780 1
O2 O 0.0876 0.8662 0.9595 1
O3 O 0.1234 0.5000 0.3605 1
O4 O 0.2017 0.7574 0.6595 1
O5 O 0.3333 0.6667 0.1421 1
O6 O 0.3333 0.6667 0.8759 1
```

Peak list (6 most intense, 2θ from 15° to 90°, by intensity)
d_spacing, I/Imax
4.804, 100
2.198, 95
2.969, 89
3.777, 82
2.704, 43
2.473, 38

---

2.
# Li5Ni2P3O12
Calculated powder X-ray diffraction pattern, Cu Kα, 1.54184 Å. Input: a structure optimized by DFT (GGA+U).

```
data_Li5Ni2P3O12
_space_group_name_H-M_alt 'P -1'
_space_group_IT_number 2
_cell_length_a 8.3187
_cell_length_b 8.3593
_cell_length_c 9.1747
_cell_angle_alpha 63.42
_cell_angle_beta 63.34
_cell_angle_gamma 60.19
loop_
_space_group_symop_operation_xyz
'x,y,z'
'-x,-y,-z'
loop_
_atom_site_label
_atom_site_type_symbol
_atom_site_fract_x
_atom_site_fract_y
_atom_site_fract_z
_atom_site_occupancy
Li1 Li 0.0162 0.2864 0.0915 1
Li2 Li 0.1928 0.7751 0.6015 1
Li3 Li 0.2278 0.5732 0.3668 1
Li4 Li 0.3998 0.9624 0.9205 1
Li5 Li 0.4231 0.1872 0.6121 1
Ni1 Ni 0.1544 0.1537 0.5435 1
Ni2 Ni 0.3572 0.3732 0.9243 1
P1 P 0.0469 0.4576 0.7426 1
P2 P 0.2462 0.9553 0.2567 1
P3 P 0.4548 0.7549 0.7484 1
O1 O 0.0011 0.6628 0.3064 1
O2 O 0.0253 0.0155 0.3015 1
O3 O 0.0479 0.6518 0.5982 1
O4 O 0.0938 0.5003 0.0869 1
O5 O 0.2536 0.3453 0.7669 1
O6 O 0.3001 0.9563 0.3991 1
O7 O 0.3066 0.1019 0.0837 1
O8 O 0.3345 0.9753 0.7046 1
O9 O 0.3367 0.6455 0.7677 1
O10 O 0.3561 0.2937 0.4022 1
O11 O 0.3613 0.7518 0.2341 1
O12 O 0.4988 0.7011 0.9122 1
```

Peak list (6 most intense, 2θ from 15° to 90°, by intensity)
d_spacing, I/Imax
4.574, 100
3.694, 74
3.083, 63
4.544, 52
2.848, 46
2.860, 45

---

3.
# LiNiPO4
Calculated powder X-ray diffraction pattern, Cu Kα, 1.54184 Å. Input: a structure optimized by DFT (GGA+U).

```
data_LiNiPO4
_space_group_name_H-M_alt 'P n a 21'
_space_group_IT_number 33
_cell_length_a 11.3380
_cell_length_b 5.9804
_cell_length_c 4.9208
_cell_angle_alpha 90.00
_cell_angle_beta 90.00
_cell_angle_gamma 90.00
loop_
_space_group_symop_operation_xyz
'x,y,z'
'-x,-y,z+1/2'
'-x+1/2,y+1/2,z+1/2'
'x+1/2,-y+1/2,z'
loop_
_atom_site_label
_atom_site_type_symbol
_atom_site_fract_x
_atom_site_fract_y
_atom_site_fract_z
_atom_site_occupancy
Li1 Li 0.0619 0.2148 0.0000 1
Ni1 Ni 0.1681 0.4526 0.5032 1
P1 P 0.0898 0.7291 0.9903 1
O1 O 0.0385 0.2403 0.5965 1
O2 O 0.0890 0.7085 0.6760 1
O3 O 0.1468 0.5123 0.1081 1
O4 O 0.1600 0.9426 0.0738 1
```

Peak list (6 most intense, 2θ from 15° to 90°, by intensity)
d_spacing, I/Imax
3.603, 100
3.800, 67
2.459, 65
5.290, 61
3.195, 50
2.645, 40